The following is a simulated XRD peak list of Y3HoH8. It was derived from DFT lattice parameters and positions (GGA-PBE), using λ = 1.5418 Å (Cu Kα).
Kinematic intensities with the Lorentz-polarization factor, no thermal factor.

abc: 5.178 5.178 5.178
angles: 90.00 90.00 90.00
Space group Pm-3m (No. 221)
Unique sites:
Y (0.000, 0.000, 0.500)
Ho (0.500, 0.500, 0.500)
H (0.252, 0.252, 0.252)

Most intense lines, 2θ = 5–70°, by angle:
hkl 1 0 0, 2θ 17.1, d = 5.178 Å, rel. 7; hkl 1 1 0, 2θ 24.3, d = 3.661 Å, rel. 7; hkl 1 1 1, 2θ 29.9, d = 2.989 Å, rel. 100; hkl 2 0 0, 2θ 34.7, d = 2.589 Å, rel. 48; hkl 2 1 0, 2θ 38.9, d = 2.315 Å, rel. 4; hkl 2 2 0, 2θ 49.8, d = 1.831 Å, rel. 37; hkl 3 1 1, 2θ 59.2, d = 1.561 Å, rel. 42; hkl 2 2 2, 2θ 62.1, d = 1.495 Å, rel. 12

---

The following is a simulated XRD peak list of Nd3ErSc3Se8. It was derived from DFT lattice parameters and positions (GGA-PBE), using λ = 1.5418 Å (Cu Kα).
Kinematic intensities with the Lorentz-polarization factor, no thermal factor.

abc: 8.0040 8.0040 20.1632
angles: 90.00 90.00 120.00
Space group R-3m (No. 166, hexagonal axes)
Unique sites:
Nd (0.0000, 0.5000, 0.0000)
Er (0.0000, 0.0000, 0.5000)
Sc (0.0000, 0.5000, 0.5000)
Se (0.0000, 0.0000, 0.2407)
Se (0.0146, 0.5073, 0.7557)

Most intense lines, 2θ = 5–70°, by angle:
hkl 1 0 1, 2θ 13.5, d = 6.555 Å, rel. 21; hkl 1 1 3, 2θ 25.9, d = 3.439 Å, rel. 13; hkl 0 2 4, 2θ 31.3, d = 2.856 Å, rel. 100; hkl 2 1 1, 2θ 34.5, d = 2.598 Å, rel. 8; hkl 2 0 8, 2θ 44.4, d = 2.038 Å, rel. 36; hkl 2 2 0, 2θ 45.3, d = 2.001 Å, rel. 35; hkl 4 0 4, 2θ 56.1, d = 1.639 Å, rel. 18; hkl 0 4 8, 2θ 65.4, d = 1.428 Å, rel. 11

---

The following is a simulated XRD peak list of KTl2OsO4. It was derived from DFT lattice parameters and positions (GGA-PBE), using λ = 1.5418 Å (Cu Kα).
Kinematic intensities with the Lorentz-polarization factor, no thermal factor.

abc: 6.516 6.516 7.435
angles: 90.00 90.00 90.00
Space group I-4 (No. 82)
Unique sites:
K (0.000, 0.000, 0.000)
Tl (0.000, 0.000, 0.500)
Tl (0.000, 0.500, 0.250)
Os (0.000, 0.500, 0.750)
O (0.191, 0.302, 0.807)

Most intense lines, 2θ = 5–70°, by angle:
hkl 1 0 1, 2θ 18.1, d = 4.900 Å, rel. 22; hkl 2 0 0, 2θ 27.4, d = 3.258 Å, rel. 55; hkl 1 1 2, 2θ 30.9, d = 2.893 Å, rel. 100; hkl 2 2 0, 2θ 39.1, d = 2.304 Å, rel. 29; hkl 3 1 2, 2θ 50.7, d = 1.802 Å, rel. 48; hkl 2 0 4, 2θ 57.0, d = 1.615 Å, rel. 17; hkl 2 2 4, 2θ 64.4, d = 1.447 Å, rel. 12; hkl 3 3 2, 2θ 65.8, d = 1.419 Å, rel. 12

---

The following is a simulated XRD peak list of Ca2NiHSe. It was derived from DFT lattice parameters and positions (GGA-PBE), using λ = 1.5418 Å (Cu Kα).
Kinematic intensities with the Lorentz-polarization factor, no thermal factor.

abc: 4.981 4.981 3.596
angles: 90.00 90.00 90.00
Space group P4/mmm (No. 123)
Unique sites:
Ca (0.000, 0.500, 0.000)
Ni (0.000, 0.000, 0.500)
H (0.000, 0.000, 0.000)
Se (0.500, 0.500, 0.500)

Most intense lines, 2θ = 5–70°, by angle:
hkl 0 0 1, 2θ 24.8, d = 3.596 Å, rel. 4; hkl 1 1 0, 2θ 25.3, d = 3.522 Å, rel. 9; hkl 1 1 1, 2θ 35.7, d = 2.516 Å, rel. 100; hkl 2 0 0, 2θ 36.1, d = 2.491 Å, rel. 50; hkl 0 0 2, 2θ 50.8, d = 1.798 Å, rel. 9; hkl 2 2 0, 2θ 51.9, d = 1.761 Å, rel. 16; hkl 2 0 2, 2θ 63.9, d = 1.458 Å, rel. 17; hkl 3 1 1, 2θ 64.6, d = 1.443 Å, rel. 32

---

The following is a simulated XRD peak list of Ag8SnS6. It was derived from DFT lattice parameters and positions (GGA-PBE), using λ = 1.5418 Å (Cu Kα).
Kinematic intensities with the Lorentz-polarization factor, no thermal factor.

abc: 15.448 7.661 10.843
angles: 90.00 90.00 90.00
Space group Pna2_1 (No. 33)
Unique sites:
Ag (0.020, 0.019, 0.000)
Ag (0.060, 0.235, 0.221)
Ag (0.065, 0.569, 0.904)
Ag (0.092, 0.603, 0.584)
Ag (0.129, 0.270, 0.762)
Ag (0.225, 0.011, 0.982)
Ag (0.227, 0.878, 0.576)
Ag (0.241, 0.643, 0.802)
Sn (0.125, 0.734, 0.237)
S (0.001, 0.270, 0.606)
S (0.113, 0.816, 0.753)
S (0.121, 0.483, 0.371)
S (0.123, 0.272, 0.994)
S (0.127, 0.990, 0.369)
S (0.249, 0.226, 0.607)

Most intense lines, 2θ = 5–70°, by angle:
hkl 4 1 1, 2θ 27.1, d = 3.286 Å, rel. 41; hkl 2 0 3, 2θ 27.3, d = 3.271 Å, rel. 30; hkl 4 0 2, 2θ 28.4, d = 3.146 Å, rel. 35; hkl 0 2 2, 2θ 28.5, d = 3.129 Å, rel. 100; hkl 3 1 3, 2θ 32.4, d = 2.760 Å, rel. 44; hkl 3 2 2, 2θ 33.5, d = 2.674 Å, rel. 27; hkl 4 1 3, 2θ 36.0, d = 2.494 Å, rel. 33; hkl 4 2 4, 2θ 47.3, d = 1.920 Å, rel. 41

---

The following is a simulated XRD peak list of Sm2Ho3Tl4. It was derived from DFT lattice parameters and positions (GGA-PBE), using λ = 1.5418 Å (Cu Kα).
Kinematic intensities with the Lorentz-polarization factor, no thermal factor.

abc: 9.155 5.292 10.647
angles: 90.00 90.10 90.00
Space group C2/m (No. 12)
Unique sites:
Sm (0.167, 0.000, 0.277)
Ho (0.000, 0.500, 0.500)
Ho (0.167, 0.000, 0.926)
Tl (0.000, 0.500, 0.152)
Tl (0.167, 0.000, 0.603)

Most intense lines, 2θ = 5–70°, by angle:
hkl 1 1 3, 2θ 31.9, d = 2.805 Å, rel. 100; hkl 3 1 0, 2θ 33.9, d = 2.644 Å, rel. 89; hkl 4 0 3, 2θ 47.2, d = 1.924 Å, rel. 34; hkl 2 0 6, 2θ 55.5, d = 1.655 Å, rel. 19; hkl 1 3 3, 2θ 59.4, d = 1.556 Å, rel. 23; hkl 4 2 3, 2θ 59.4, d = 1.555 Å, rel. 11; hkl 6 0 0, 2θ 60.7, d = 1.527 Å, rel. 17; hkl 4 0 -6, 2θ 66.7, d = 1.403 Å, rel. 11

---

The following is a simulated XRD peak list of NaCd6Pt6. It was derived from DFT lattice parameters and positions (GGA-PBE), using λ = 1.5418 Å (Cu Kα).
Kinematic intensities with the Lorentz-polarization factor, no thermal factor.

abc: 5.618 9.263 9.698
angles: 90.00 90.00 90.00
Space group Immm (No. 71)
Unique sites:
Na (0.000, 0.000, 0.000)
Cd (0.000, 0.000, 0.338)
Cd (0.000, 0.327, 0.000)
Cd (0.000, 0.500, 0.327)
Pt (0.000, 0.255, 0.500)
Pt (0.250, 0.250, 0.250)

Most intense lines, 2θ = 5–70°, by angle:
hkl 0 0 2, 2θ 18.3, d = 4.857 Å, rel. 24; hkl 0 2 0, 2θ 19.2, d = 4.632 Å, rel. 34; hkl 0 0 4, 2θ 37.0, d = 2.428 Å, rel. 45; hkl 2 2 0, 2θ 37.5, d = 2.399 Å, rel. 34; hkl 0 4 0, 2θ 38.9, d = 2.316 Å, rel. 23; hkl 2 2 2, 2θ 42.0, d = 2.151 Å, rel. 100; hkl 0 4 2, 2θ 43.3, d = 2.090 Å, rel. 19; hkl 0 4 4, 2θ 54.8, d = 1.676 Å, rel. 16

---

The following is a simulated XRD peak list of Sc2Cu. It was derived from DFT lattice parameters and positions (GGA-PBE), using λ = 1.5418 Å (Cu Kα).
Kinematic intensities with the Lorentz-polarization factor, no thermal factor.

abc: 6.8019 6.8019 4.5063
angles: 90.00 90.00 120.00
Space group P-62m (No. 189)
Unique sites:
Sc (0.0000, 0.2628, 0.0000)
Sc (0.0000, 0.5937, 0.5000)
Cu (0.0000, 0.0000, 0.5000)
Cu (0.3333, 0.6667, 0.0000)

Most intense lines, 2θ = 5–70°, by angle:
hkl 1 0 1, 2θ 24.9, d = 3.579 Å, rel. 20; hkl 1 1 1, 2θ 33.0, d = 2.715 Å, rel. 79; hkl 2 0 1, 2θ 36.4, d = 2.465 Å, rel. 100; hkl 0 0 2, 2θ 40.0, d = 2.253 Å, rel. 42; hkl 2 1 0, 2θ 40.5, d = 2.226 Å, rel. 24; hkl 2 1 1, 2θ 45.4, d = 1.996 Å, rel. 42; hkl 3 0 0, 2θ 46.2, d = 1.964 Å, rel. 40; hkl 3 0 2, 2θ 62.8, d = 1.480 Å, rel. 30

---

The following is a simulated XRD peak list of Nb3W5. It was derived from DFT lattice parameters and positions (GGA-PBE), using λ = 1.5418 Å (Cu Kα).
Kinematic intensities with the Lorentz-polarization factor, no thermal factor.

abc: 6.449 6.449 6.449
angles: 90.00 90.00 90.00
Space group Im-3m (No. 229)
Unique sites:
Nb (0.000, 0.000, 0.500)
W (0.000, 0.000, 0.000)
W (0.250, 0.250, 0.250)

Most intense lines, 2θ = 5–70°, by angle:
hkl 1 1 0, 2θ 19.5, d = 4.560 Å, rel. 3; hkl 2 0 0, 2θ 27.7, d = 3.224 Å, rel. 6; hkl 2 1 1, 2θ 34.1, d = 2.633 Å, rel. 2; hkl 2 2 0, 2θ 39.5, d = 2.280 Å, rel. 100; hkl 2 2 2, 2θ 48.9, d = 1.862 Å, rel. 2; hkl 3 2 1, 2θ 53.1, d = 1.724 Å, rel. 1; hkl 4 0 0, 2θ 57.1, d = 1.612 Å, rel. 17; hkl 4 2 0, 2θ 64.6, d = 1.442 Å, rel. 2

---

The following is a simulated XRD peak list of Ba2Sb3S8. It was derived from DFT lattice parameters and positions (GGA-PBE), using λ = 1.5418 Å (Cu Kα).
Kinematic intensities with the Lorentz-polarization factor, no thermal factor.

abc: 14.894 7.935 6.714
angles: 90.00 107.75 90.00
Space group C2/m (No. 12)
Unique sites:
Ba (0.230, 0.000, 0.179)
Sb (0.000, 0.239, 0.500)
Sb (0.000, 0.500, 0.000)
S (0.102, 0.278, 0.905)
S (0.107, 0.500, 0.379)
S (0.122, 0.000, 0.513)

Most intense lines, 2θ = 5–70°, by angle:
hkl 1 1 1, 2θ 20.3, d = 4.384 Å, rel. 100; hkl 3 1 -1, 2θ 22.7, d = 3.925 Å, rel. 96; hkl 2 2 0, 2θ 25.7, d = 3.463 Å, rel. 67; hkl 2 2 -1, 2θ 27.4, d = 3.255 Å, rel. 52; hkl 4 2 -1, 2θ 33.6, d = 2.667 Å, rel. 79; hkl 2 0 2, 2θ 34.1, d = 2.630 Å, rel. 45; hkl 4 2 1, 2θ 39.7, d = 2.268 Å, rel. 68; hkl 2 2 -3, 2θ 46.6, d = 1.949 Å, rel. 50

---

The following is a simulated XRD peak list of KPaTe. It was derived from DFT lattice parameters and positions (GGA-PBE), using λ = 1.5418 Å (Cu Kα).
Kinematic intensities with the Lorentz-polarization factor, no thermal factor.

abc: 4.0258 4.0258 45.4101
angles: 90.00 90.00 120.00
Space group R-3m (No. 166, hexagonal axes)
Unique sites:
K (0.0000, 0.0000, 0.1209)
Pa (0.0000, 0.0000, 0.3156)
Te (0.0000, 0.0000, 0.3980)

Most intense lines, 2θ = 5–70°, by angle:
hkl 0 0 3, 2θ 5.8, d = 15.137 Å, rel. 100; hkl 1 0 1, 2θ 25.6, d = 3.476 Å, rel. 6; hkl 1 0 4, 2θ 26.7, d = 3.333 Å, rel. 6; hkl 1 0 10, 2θ 32.4, d = 2.765 Å, rel. 9; hkl 0 1 11, 2θ 33.6, d = 2.664 Å, rel. 13; hkl 0 1 14, 2θ 37.9, d = 2.375 Å, rel. 9; hkl 1 1 0, 2θ 45.0, d = 2.013 Å, rel. 8; hkl 1 1 3, 2θ 45.5, d = 1.995 Å, rel. 6

---

The following is a simulated XRD peak list of LaCeTeAs. It was derived from DFT lattice parameters and positions (GGA-PBE), using λ = 1.5418 Å (Cu Kα).
Kinematic intensities with the Lorentz-polarization factor, no thermal factor.

abc: 4.3830 4.3830 22.1136
angles: 90.00 90.00 120.00
Space group R3m (No. 160, hexagonal axes)
Unique sites:
La (0.0000, 0.0000, 0.0000)
Ce (0.0000, 0.0000, 0.4828)
Te (0.0000, 0.0000, 0.2392)
As (0.0000, 0.0000, 0.7435)

Most intense lines, 2θ = 5–70°, by angle:
hkl 1 0 4, 2θ 28.5, d = 3.129 Å, rel. 100; hkl 0 1 8, 2θ 40.4, d = 2.234 Å, rel. 36; hkl 1 1 0, 2θ 41.2, d = 2.191 Å, rel. 38; hkl 0 0 12, 2θ 49.5, d = 1.843 Å, rel. 6; hkl 0 2 4, 2θ 50.9, d = 1.795 Å, rel. 20; hkl 2 0 8, 2θ 59.0, d = 1.565 Å, rel. 12; hkl 1 1 12, 2θ 66.3, d = 1.410 Å, rel. 14; hkl 2 1 4, 2θ 67.4, d = 1.389 Å, rel. 17

---

The following is a simulated XRD peak list of CsNd2PaSe5. It was derived from DFT lattice parameters and positions (GGA-PBE), using λ = 1.5418 Å (Cu Kα).
Kinematic intensities with the Lorentz-polarization factor, no thermal factor.

abc: 5.342 7.689 14.384
angles: 90.00 90.00 90.00
Space group Immm (No. 71)
Unique sites:
Cs (0.000, 0.000, 0.000)
Nd (0.000, 0.500, 0.203)
Pa (0.000, 0.000, 0.500)
Se (0.000, 0.235, 0.349)
Se (0.000, 0.500, 0.000)

Most intense lines, 2θ = 5–70°, by angle:
hkl 0 1 1, 2θ 13.1, d = 6.781 Å, rel. 58; hkl 1 1 2, 2θ 23.8, d = 3.745 Å, rel. 100; hkl 0 1 5, 2θ 33.3, d = 2.694 Å, rel. 18; hkl 2 0 0, 2θ 33.6, d = 2.671 Å, rel. 44; hkl 0 2 4, 2θ 34.1, d = 2.626 Å, rel. 49; hkl 1 2 3, 2θ 34.3, d = 2.615 Å, rel. 45; hkl 1 3 2, 2θ 41.0, d = 2.200 Å, rel. 28; hkl 2 2 4, 2θ 48.6, d = 1.873 Å, rel. 36